[1]
For NaLi3Ga4Si8O24, a GGA-PBE-relaxed structure gives the theoretical X-ray diffraction stick pattern in this record (CuKα).

Structure:
Cell lengths 7.3147, 7.3147, 9.7176 Å; angles 114.50, 114.50, 73.47 degrees
Sites, in units of the cell vectors:
Na 0.0000 0.0000 0.0000
Li 0.2985 0.2017 0.7501
Li 0.5370 0.4630 0.5000
Li 0.7983 0.7015 0.2499
Ga 0.3935 0.6065 0.0000
Ga 0.4407 0.0601 0.2511
Ga 0.8935 0.1065 0.5000
Ga 0.9399 0.5593 0.7489
Si 0.1330 0.3689 0.0441
Si 0.1362 0.3707 0.4565
Si 0.1987 0.7980 0.2950
Si 0.2020 0.8013 0.7050
Si 0.6293 0.8638 0.5435
Si 0.6311 0.8670 0.9559
Si 0.6999 0.2955 0.7927
Si 0.7045 0.3001 0.2073
O 0.0712 0.0071 0.6725
O 0.0728 0.3201 0.5816
O 0.1495 0.5627 0.2105
O 0.1544 0.7324 0.8281
O 0.1777 0.6086 0.5362
O 0.1801 0.4311 0.9173
O 0.2676 0.8456 0.1719
O 0.2752 0.1707 0.0823
O 0.3421 0.2413 0.4235
O 0.3914 0.8223 0.4638
O 0.4373 0.8505 0.7895
O 0.4959 0.4249 0.8284
O 0.5689 0.8199 0.0827
O 0.5751 0.5041 0.1716
O 0.6564 0.2372 0.3338
O 0.6587 0.0568 0.7129
O 0.6799 0.9272 0.4184
O 0.6825 0.1027 0.0405
O 0.7587 0.6579 0.5765
O 0.7628 0.3436 0.6662
O 0.8293 0.7248 0.9177
O 0.8973 0.3175 0.9595
O 0.9432 0.3413 0.2871
O 0.9929 0.9288 0.3275

Most intense lines, 10 to 90 degrees two-theta, by angle:
Position (°2θ)	d/Å	I (rel.)
14.0	6.318	72
19.8	4.479	39
20.3	4.375	24
25.1	3.542	30
29.6	3.014	100
31.1	2.875	61
35.3	2.546	30
35.8	2.508	33
37.0	2.427	32
41.8	2.162	20
42.4	2.130	21
55.8	1.648	28

***

[2]
For SrAcInPb, a GGA-PBE-relaxed structure gives the theoretical X-ray diffraction stick pattern in this record (CuKα).

Structure:
Cell lengths 4.7170, 6.6689, 6.6689 Å; angles 44.45, 90.00, 90.00 degrees
Sites, in units of the cell vectors:
Sr 0.0000 0.0000 0.0000
Ac 0.5000 0.2721 0.2721
In 0.0000 0.7169 0.7169
Pb 0.5000 0.5563 0.5563

Most intense lines, 10 to 90 degrees two-theta, by angle:
Position (°2θ)	d/Å	I (rel.)
19.0	4.670	19
26.9	3.319	100
28.0	3.189	31
28.9	3.087	28
33.9	2.642	92
34.7	2.583	29
35.6	2.522	32
38.2	2.358	26
50.6	1.805	20
53.2	1.723	20
58.8	1.571	20
69.0	1.360	18